Record 1
# Cs2P2H2O7
Calculated powder diffraction line list, λ = 1.5418 Å (Cu Kα). Input: a cell relaxed with GGA-PBE.
No peak broadening, texture or thermal motion is included.

Main lines, in order of rising 2θ (2θ = 15–90°):
Position (°2θ)  I (rel.)
15.38  21
19.48  20
21.33  20
24.92  100
26.90  51
27.05  38
29.57  66
31.05  25
33.43  20
33.56  29

Structure:
Cell lengths 6.086, 6.086, 11.521 Å; angles 90.23, 90.23, 96.94 degrees
Atoms (fractional coordinates):
1 Cs 0.221 0.768 0.979
2 Cs 0.232 0.779 0.521
3 Cs 0.768 0.221 0.479
4 Cs 0.779 0.232 0.021
5 P 0.300 0.329 0.263
6 P 0.329 0.300 0.763
7 P 0.671 0.700 0.237
8 P 0.700 0.671 0.737
9 H 0.008 0.609 0.263
10 H 0.391 0.992 0.237
11 H 0.609 0.008 0.763
12 H 0.992 0.391 0.737
13 O 0.105 0.307 0.692
14 O 0.151 0.468 0.196
15 O 0.257 0.291 0.391
16 O 0.291 0.257 0.891
17 O 0.307 0.105 0.192
18 O 0.441 0.559 0.750
19 O 0.468 0.151 0.696
20 O 0.532 0.849 0.304
21 O 0.559 0.441 0.250
22 O 0.693 0.895 0.808
23 O 0.709 0.743 0.109
24 O 0.743 0.709 0.609
25 O 0.849 0.532 0.804
26 O 0.895 0.693 0.308

***

Record 2
# Cs2PH3SeO8
Calculated powder diffraction line list, λ = 1.5418 Å (Cu Kα). Input: a cell relaxed with GGA-PBE.
No peak broadening, texture or thermal motion is included.

Main lines, in order of rising 2θ (2θ = 15–90°):
Position (°2θ)  I (rel.)
22.14  98
24.79  100
25.08  91
25.70  45
30.74  35
36.44  34
40.50  18
41.09  28
43.44  25
50.82  20

Structure:
Cell lengths 12.483, 8.031, 10.365 Å; angles 90.00, 90.82, 90.00 degrees
Atoms (fractional coordinates):
1 Cs 0.054 0.165 0.335
2 Cs 0.054 0.335 0.835
3 Cs 0.438 0.662 0.675
4 Cs 0.438 0.838 0.175
5 Cs 0.562 0.162 0.825
6 Cs 0.562 0.338 0.325
7 Cs 0.946 0.665 0.165
8 Cs 0.946 0.835 0.665
9 P 0.175 0.668 0.426
10 P 0.175 0.832 0.926
11 P 0.825 0.168 0.074
12 P 0.825 0.332 0.574
13 H 0.189 0.050 0.062
14 H 0.189 0.450 0.562
15 H 0.242 0.505 0.266
16 H 0.242 0.995 0.766
17 H 0.298 0.623 0.930
18 H 0.298 0.877 0.430
19 H 0.702 0.123 0.570
20 H 0.702 0.377 0.070
21 H 0.758 0.005 0.234
22 H 0.758 0.495 0.734
23 H 0.811 0.550 0.438
24 H 0.811 0.950 0.938
25 Se 0.324 0.166 0.568
26 Se 0.324 0.334 0.068
27 Se 0.676 0.666 0.932
28 Se 0.676 0.834 0.432
29 O 0.085 0.709 0.912
30 O 0.085 0.791 0.412
31 O 0.167 0.573 0.560
32 O 0.167 0.927 0.060
33 O 0.173 0.529 0.318
34 O 0.173 0.971 0.818
35 O 0.204 0.239 0.083
36 O 0.204 0.261 0.583
37 O 0.291 0.748 0.421
38 O 0.291 0.752 0.921
39 O 0.324 0.060 0.428
40 O 0.324 0.440 0.928
41 O 0.340 0.029 0.691
42 O 0.340 0.471 0.191
43 O 0.423 0.197 0.072
44 O 0.423 0.303 0.572
45 O 0.577 0.697 0.428
46 O 0.577 0.803 0.928
47 O 0.660 0.529 0.809
48 O 0.660 0.971 0.309
49 O 0.676 0.560 0.072
50 O 0.676 0.940 0.572
51 O 0.709 0.248 0.079
52 O 0.709 0.252 0.579
53 O 0.796 0.739 0.417
54 O 0.796 0.761 0.917
55 O 0.827 0.029 0.182
56 O 0.827 0.471 0.682
57 O 0.833 0.073 0.940
58 O 0.833 0.427 0.440
59 O 0.915 0.209 0.588
60 O 0.915 0.291 0.088

***

Repeat the second record exactly.
# Cs2PH3SeO8
Calculated powder diffraction line list, λ = 1.5418 Å (Cu Kα). Input: a cell relaxed with GGA-PBE.
No peak broadening, texture or thermal motion is included.

Main lines, in order of rising 2θ (2θ = 15–90°):
Position (°2θ)  I (rel.)
22.14  98
24.79  100
25.08  91
25.70  45
30.74  35
36.44  34
40.50  18
41.09  28
43.44  25
50.82  20

Structure:
Cell lengths 12.483, 8.031, 10.365 Å; angles 90.00, 90.82, 90.00 degrees
Atoms (fractional coordinates):
1 Cs 0.054 0.165 0.335
2 Cs 0.054 0.335 0.835
3 Cs 0.438 0.662 0.675
4 Cs 0.438 0.838 0.175
5 Cs 0.562 0.162 0.825
6 Cs 0.562 0.338 0.325
7 Cs 0.946 0.665 0.165
8 Cs 0.946 0.835 0.665
9 P 0.175 0.668 0.426
10 P 0.175 0.832 0.926
11 P 0.825 0.168 0.074
12 P 0.825 0.332 0.574
13 H 0.189 0.050 0.062
14 H 0.189 0.450 0.562
15 H 0.242 0.505 0.266
16 H 0.242 0.995 0.766
17 H 0.298 0.623 0.930
18 H 0.298 0.877 0.430
19 H 0.702 0.123 0.570
20 H 0.702 0.377 0.070
21 H 0.758 0.005 0.234
22 H 0.758 0.495 0.734
23 H 0.811 0.550 0.438
24 H 0.811 0.950 0.938
25 Se 0.324 0.166 0.568
26 Se 0.324 0.334 0.068
27 Se 0.676 0.666 0.932
28 Se 0.676 0.834 0.432
29 O 0.085 0.709 0.912
30 O 0.085 0.791 0.412
31 O 0.167 0.573 0.560
32 O 0.167 0.927 0.060
33 O 0.173 0.529 0.318
34 O 0.173 0.971 0.818
35 O 0.204 0.239 0.083
36 O 0.204 0.261 0.583
37 O 0.291 0.748 0.421
38 O 0.291 0.752 0.921
39 O 0.324 0.060 0.428
40 O 0.324 0.440 0.928
41 O 0.340 0.029 0.691
42 O 0.340 0.471 0.191
43 O 0.423 0.197 0.072
44 O 0.423 0.303 0.572
45 O 0.577 0.697 0.428
46 O 0.577 0.803 0.928
47 O 0.660 0.529 0.809
48 O 0.660 0.971 0.309
49 O 0.676 0.560 0.072
50 O 0.676 0.940 0.572
51 O 0.709 0.248 0.079
52 O 0.709 0.252 0.579
53 O 0.796 0.739 0.417
54 O 0.796 0.761 0.917
55 O 0.827 0.029 0.182
56 O 0.827 0.471 0.682
57 O 0.833 0.073 0.940
58 O 0.833 0.427 0.440
59 O 0.915 0.209 0.588
60 O 0.915 0.291 0.088

***

Please write out number 2 again, unchanged.
# Cs2PH3SeO8
Calculated powder diffraction line list, λ = 1.5418 Å (Cu Kα). Input: a cell relaxed with GGA-PBE.
No peak broadening, texture or thermal motion is included.

Main lines, in order of rising 2θ (2θ = 15–90°):
Position (°2θ)  I (rel.)
22.14  98
24.79  100
25.08  91
25.70  45
30.74  35
36.44  34
40.50  18
41.09  28
43.44  25
50.82  20

Structure:
Cell lengths 12.483, 8.031, 10.365 Å; angles 90.00, 90.82, 90.00 degrees
Atoms (fractional coordinates):
1 Cs 0.054 0.165 0.335
2 Cs 0.054 0.335 0.835
3 Cs 0.438 0.662 0.675
4 Cs 0.438 0.838 0.175
5 Cs 0.562 0.162 0.825
6 Cs 0.562 0.338 0.325
7 Cs 0.946 0.665 0.165
8 Cs 0.946 0.835 0.665
9 P 0.175 0.668 0.426
10 P 0.175 0.832 0.926
11 P 0.825 0.168 0.074
12 P 0.825 0.332 0.574
13 H 0.189 0.050 0.062
14 H 0.189 0.450 0.562
15 H 0.242 0.505 0.266
16 H 0.242 0.995 0.766
17 H 0.298 0.623 0.930
18 H 0.298 0.877 0.430
19 H 0.702 0.123 0.570
20 H 0.702 0.377 0.070
21 H 0.758 0.005 0.234
22 H 0.758 0.495 0.734
23 H 0.811 0.550 0.438
24 H 0.811 0.950 0.938
25 Se 0.324 0.166 0.568
26 Se 0.324 0.334 0.068
27 Se 0.676 0.666 0.932
28 Se 0.676 0.834 0.432
29 O 0.085 0.709 0.912
30 O 0.085 0.791 0.412
31 O 0.167 0.573 0.560
32 O 0.167 0.927 0.060
33 O 0.173 0.529 0.318
34 O 0.173 0.971 0.818
35 O 0.204 0.239 0.083
36 O 0.204 0.261 0.583
37 O 0.291 0.748 0.421
38 O 0.291 0.752 0.921
39 O 0.324 0.060 0.428
40 O 0.324 0.440 0.928
41 O 0.340 0.029 0.691
42 O 0.340 0.471 0.191
43 O 0.423 0.197 0.072
44 O 0.423 0.303 0.572
45 O 0.577 0.697 0.428
46 O 0.577 0.803 0.928
47 O 0.660 0.529 0.809
48 O 0.660 0.971 0.309
49 O 0.676 0.560 0.072
50 O 0.676 0.940 0.572
51 O 0.709 0.248 0.079
52 O 0.709 0.252 0.579
53 O 0.796 0.739 0.417
54 O 0.796 0.761 0.917
55 O 0.827 0.029 0.182
56 O 0.827 0.471 0.682
57 O 0.833 0.073 0.940
58 O 0.833 0.427 0.440
59 O 0.915 0.209 0.588
60 O 0.915 0.291 0.088